The following is a computed XRD peak list of NdZnCo. It was derived from a DFT-relaxed cell (PBE, Alexandria), using Cu Ka.
Lines closer than 0.1° are merged.

The 6 most intense peaks (2θ from 15° to 90°), by angle:
Position (°2θ)	d (Å)	intensity
30.99	2.886	44
32.11	2.787	34
33.88	2.646	100
35.78	2.509	30
40.05	2.251	50
45.23	2.005	36

Atomic structure:
```
12
Lattice="12.047 0.000 0.000 0.000 4.009 0.000 -1.320 0.000 4.915" Properties=species:S:1:pos:R:3 pbc="T T T"
Nd 1.051 0.000 1.525
Nd 3.653 2.005 3.391
Nd 7.074 2.005 1.525
Nd 9.676 0.000 3.391
Zn 0.056 2.005 3.799
Zn 4.647 0.000 1.117
Zn 6.080 0.000 3.799
Zn 10.671 2.005 1.117
Co 1.495 0.000 4.350
Co 3.209 2.005 0.566
Co 7.518 2.005 4.350
Co 9.232 0.000 0.566
```